# 1
Diffraction record for Dy6IrPt3. The X-ray powder pattern is simulated, not measured: it uses a structure optimized by DFT (PBE) and Cu Kα, 1.54184 Å.
Lines closer than 0.1° are merged.

Principal peaks in the range 2θ = 10–90°, by angle:
2θ (°)	Rel. int.
18.2	17
30.8	39
31.1	20
32.1	13
36.7	66
37.0	82
37.7	100
43.3	13
53.3	20
54.0	12
65.8	12
67.2	31

```
data_Dy6IrPt3
_chemical_formula_sum 'Dy12 Ir2 Pt6'
_cell_length_a 8.2287
_cell_length_b 12.0650
_cell_length_c 4.8560
_cell_angle_alpha 90.00
_cell_angle_beta 90.00
_cell_angle_gamma 90.00
_space_group_name_H-M_alt 'P n n m'
_space_group_IT_number 58
loop_
_space_group_symop_operation_xyz
'x,y,z'
'-x,-y,-z'
'-x,-y,z'
'x,y,-z'
'x+1/2,-y+1/2,-z+1/2'
'-x+1/2,y+1/2,z+1/2'
'-x+1/2,y+1/2,-z+1/2'
'x+1/2,-y+1/2,z+1/2'
loop_
_atom_site_label
_atom_site_type_symbol
_atom_site_fract_x
_atom_site_fract_y
_atom_site_fract_z
Dy1 Dy 0.9998 0.2427 0.0000
Dy2 Dy 0.1484 0.4063 0.5000
Dy3 Dy 0.1760 0.0740 0.5000
Ir1 Ir 0.0000 0.5000 0.0000
Pt1 Pt 0.0000 0.0000 0.0000
Pt2 Pt 0.1656 0.8272 0.5000
```

***

# 2
Diffraction record for MnTl2FeBr6. The X-ray powder pattern is simulated, not measured: it uses a structure optimized by DFT (PBE) and Cu Kα, 1.54184 Å.
Lines closer than 0.1° are merged.

Principal peaks in the range 2θ = 10–90°, by angle:
2θ (°)	Rel. int.
23.7	32
24.0	39
28.0	20
29.2	84
29.8	33
34.0	100
41.6	18
41.8	22
48.4	26
49.2	35
57.9	16
65.9	12

```
data_MnTl2FeBr6
_chemical_formula_sum 'Mn3 Tl6 Fe3 Br18'
_cell_length_a 7.5207
_cell_length_b 7.5207
_cell_length_c 18.0073
_cell_angle_alpha 90.00
_cell_angle_beta 90.00
_cell_angle_gamma 120.00
_space_group_name_H-M_alt 'R -3'
_space_group_IT_number 148
_space_group_name_Hall '-R 3'
loop_
_atom_site_label
_atom_site_type_symbol
_atom_site_fract_x
_atom_site_fract_y
_atom_site_fract_z
Mn1 Mn 0.0000 0.0000 0.0000
Tl1 Tl 0.0000 0.0000 0.2507
Fe1 Fe 0.0000 0.0000 0.5000
Br1 Br 0.0045 0.4449 0.2494
```

***

Please write out number 2 again, unchanged.
Diffraction record for MnTl2FeBr6. The X-ray powder pattern is simulated, not measured: it uses a structure optimized by DFT (PBE) and Cu Kα, 1.54184 Å.
Lines closer than 0.1° are merged.

Principal peaks in the range 2θ = 10–90°, by angle:
2θ (°)	Rel. int.
23.7	32
24.0	39
28.0	20
29.2	84
29.8	33
34.0	100
41.6	18
41.8	22
48.4	26
49.2	35
57.9	16
65.9	12

```
data_MnTl2FeBr6
_chemical_formula_sum 'Mn3 Tl6 Fe3 Br18'
_cell_length_a 7.5207
_cell_length_b 7.5207
_cell_length_c 18.0073
_cell_angle_alpha 90.00
_cell_angle_beta 90.00
_cell_angle_gamma 120.00
_space_group_name_H-M_alt 'R -3'
_space_group_IT_number 148
_space_group_name_Hall '-R 3'
loop_
_atom_site_label
_atom_site_type_symbol
_atom_site_fract_x
_atom_site_fract_y
_atom_site_fract_z
Mn1 Mn 0.0000 0.0000 0.0000
Tl1 Tl 0.0000 0.0000 0.2507
Fe1 Fe 0.0000 0.0000 0.5000
Br1 Br 0.0045 0.4449 0.2494
```